Simulated X-ray powder pattern
Compound: Tb2Pr3Y8
Radiation: CuKα
Structure: a DFT-relaxed cell (GGA-PBE, Alexandria)

a = 12.028 Å, b = 12.028 Å, c = 5.668 Å
α = 103.57°, β = 103.57°, γ = 33.75°
Atoms (fractional coordinates):
Tb1 0.222 0.222 0.223
Tb2 0.778 0.778 0.777
Pr1 0.224 0.776 0.500
Pr2 0.500 0.500 0.000
Pr3 0.776 0.224 0.500
Y1 0.075 0.075 0.076
Y2 0.085 0.608 0.346
Y3 0.311 0.311 0.811
Y4 0.392 0.915 0.654
Y5 0.608 0.085 0.346
Y6 0.689 0.689 0.189
Y7 0.915 0.392 0.654
Y8 0.925 0.925 0.924

Top 8 peaks for 2θ = 15–90°, by intensity:
2θ (°)  d (Å)  Rel. int.
31.5  2.837  100
30.3  2.947  92
32.2  2.779  50
36.3  2.474  38
62.5  1.487  28
55.5  1.657  16
35.3  2.546  16
15.9  5.579  15



Simulated X-ray powder pattern
Compound: TbPr2Y3
Radiation: CuKα
Structure: a DFT-relaxed cell (GGA-PBE, Alexandria)

a = 6.250 Å, b = 6.268 Å, c = 10.852 Å
α = 73.31°, β = 89.88°, γ = 80.49°
Atoms (fractional coordinates):
Tb1 0.126 0.250 0.291
Tb2 0.874 0.750 0.709
Pr1 0.123 0.250 0.625
Pr2 0.376 0.750 0.874
Pr3 0.624 0.250 0.126
Pr4 0.877 0.750 0.375
Y1 0.123 0.251 0.959
Y2 0.374 0.750 0.209
Y3 0.377 0.750 0.541
Y4 0.623 0.250 0.459
Y5 0.626 0.250 0.791
Y6 0.877 0.749 0.041

Top 8 peaks for 2θ = 15–90°, by intensity:
2θ (°)  d (Å)  Rel. int.
30.3  2.955  100
35.1  2.557  67
30.3  2.946  33
50.5  1.808  32
60.0  1.541  28
59.9  1.544  19
60.1  1.539  9
62.9  1.479  8



Simulated X-ray powder pattern
Compound: Tb4Pr7Y
Radiation: CuKα
Structure: a DFT-relaxed cell (GGA-PBE, Alexandria)

a = 6.385 Å, b = 7.362 Å, c = 9.087 Å
α = 90.04°, β = 103.49°, γ = 90.00°
Atoms (fractional coordinates):
Tb1 0.220 0.000 0.165
Tb2 0.277 0.247 0.832
Tb3 0.723 0.753 0.168
Tb4 0.780 0.000 0.835
Pr1 0.000 0.000 0.500
Pr2 0.222 0.500 0.165
Pr3 0.279 0.752 0.834
Pr4 0.499 0.248 0.502
Pr5 0.501 0.752 0.498
Pr6 0.721 0.248 0.166
Pr7 0.778 0.500 0.835
Y1 0.000 0.500 0.500

Top 8 peaks for 2θ = 15–90°, by intensity:
2θ (°)  d (Å)  Rel. int.
31.1  2.874  100
32.8  2.733  89
30.3  2.945  51
49.5  1.842  39
59.2  1.562  38
28.2  3.167  33
28.8  3.102  22
53.3  1.718  22